Entry 1:
RbMgTl6: theoretical powder X-ray diffraction pattern (Cu Ka), based on the GGA-PBE geometry in Alexandria.
Peak positions follow from Bragg's law for the DFT cell and can differ from measured ones.

Cell and atoms:
```
RbMgTl6
1.0
5.3653 0.0000 0.0000
0.0000 5.3653 0.0000
0.0000 0.0000 9.5833
Rb Mg Tl
1 1 6
Cartesian
0.0000 0.0000 0.0000
0.0000 0.0000 4.7916
0.0000 2.6827 3.1741
0.0000 2.6827 6.4092
2.6827 0.0000 3.1741
2.6827 0.0000 6.4092
2.6827 2.6827 1.5300
2.6827 2.6827 8.0533
```

Top 6 peaks for 2θ = 10–80°, sorted by position:
d/Å, I_rel, hkl
4.792, 235, 0 0 2
3.528, 908, 1 1 1
2.683, 864, 2 0 0
2.444, 1000, 1 1 3
1.897, 318, 2 2 0
1.498, 452, 3 1 3

Entry 2:
LiUI4: theoretical powder X-ray diffraction pattern (Cu Ka), based on the GGA-PBE geometry in Alexandria.
Peak positions follow from Bragg's law for the DFT cell and can differ from measured ones.

Cell and atoms:
```
LiUI4
1.0
7.5919 0.0000 0.0000
0.0000 7.9228 0.0000
0.0000 0.0000 8.2545
Li U I
2 2 8
Cartesian
0.0000 0.0000 0.0000
0.0000 3.9614 4.1272
0.0000 0.0000 4.1272
3.7959 0.0000 0.0000
1.6624 1.6680 6.8294
1.6624 6.2548 1.4251
1.9176 2.1273 2.8835
1.9176 5.7956 5.3710
5.6742 2.1273 5.3710
5.6742 5.7956 2.8835
5.9295 1.6680 1.4251
5.9295 6.2548 6.8294
```

Top 6 peaks for 2θ = 10–80°, sorted by position:
d/Å, I_rel, hkl
7.923, 654, 0 1 0
5.588, 362, 1 0 1
4.566, 529, 1 1 1
3.297, 1000, 1 1 2
3.232, 422, 1 2 1
2.741, 748, 2 2 0

Entry 3:
NaPrZn2H8: theoretical powder X-ray diffraction pattern (Cu Ka), based on the GGA-PBE geometry in Alexandria.
Peak positions follow from Bragg's law for the DFT cell and can differ from measured ones.

Cell and atoms:
```
NaPrZn2H8
1.0
4.7358 0.0000 0.0000
-2.3679 4.1013 0.0000
0.0000 0.0000 7.4975
Na Pr Zn H
1 1 2 8
Cartesian
0.0000 0.0000 0.0000
0.0000 0.0000 3.7488
0.0000 2.7342 2.0731
2.3679 1.3671 5.4244
-0.5603 1.2519 1.7485
-1.0035 3.9606 1.7485
0.8040 1.1112 5.7491
0.0000 2.7342 3.7809
2.3679 1.3671 3.7166
1.5639 2.9901 1.7485
3.3714 0.1407 5.7491
2.9282 2.8494 5.7491
```

Top 6 peaks for 2θ = 10–80°, sorted by position:
d/Å, I_rel, hkl
7.498, 672, 0 0 1
3.598, 935, 1 0 1
2.767, 1000, 1 0 2
2.368, 558, 1 1 0
2.134, 300, 0 1 3
1.799, 285, 0 2 2

Q: Number 3 is which compound?
A: NaPrZn2H8